# SmDy6Mg2
Theoretical powder diffractogram, Cu Kα X-rays. Input: a structure optimized by DFT (GGA-PBE).
Kinematic intensities with the Lorentz-polarization factor, no thermal factor.

Cell and atoms:
Cell lengths 7.2014, 7.2014, 19.1572 Å; angles 90.00, 90.00, 120.00 degrees
Space group R3m (No. 160, hexagonal axes)
Asymmetric unit:
Sm1 0.0000 0.0000 0.0000 (multiplicity 3)
Dy1 0.1697 0.3394 0.8850 (multiplicity 9)
Dy2 0.1861 0.3722 0.0845 (multiplicity 9)
Mg1 0.0000 0.0000 0.5646 (multiplicity 3)
Mg2 0.0000 0.0000 0.7418 (multiplicity 3)

Top 8 peaks for 2θ from 15° to 90°, sorted by position:
16.96 deg, I = 34, hkl 0 1 2
27.32 deg, I = 29, hkl 0 1 5
27.94 deg, I = 36, hkl 0 0 6
29.01 deg, I = 99, hkl 0 2 1
34.32 deg, I = 100, hkl 0 2 4
37.18 deg, I = 99, hkl 2 0 5
38.48 deg, I = 37, hkl 2 1 1
50.71 deg, I = 47, hkl 2 2 0